# Li4TiCrO6
Theoretical X-ray diffraction stick pattern, Cu Kα (λ = 1.5418 Å). Input: a cell relaxed with GGA+U.
Lines closer than 0.1° are merged.

The 12 most intense peaks (10° ≤ 2θ ≤ 90°), by angle:
d (Å), I/Imax, (hkl)
4.831, 100, 0 0 2
4.397, 20, 1 -1 0
4.199, 36, 1 1 -1
3.756, 25, 1 1 1
3.252, 15, -1 1 2
2.497, 34, 1 -3 1
2.078, 76, 1 -3 3
2.075, 38, 2 0 -3
1.476, 10, 2 0 5
1.474, 10, -1 3 5
1.472, 10, 1 3 -6
1.465, 19, 3 -3 0

Structural model:
```
data_Li4TiCrO6
_chemical_formula_sum 'Li16 Ti4 Cr4 O24'
_cell_length_a 5.070
_cell_length_b 8.783
_cell_length_c 9.806
_cell_angle_alpha 98.56
_cell_angle_beta 94.79
_cell_angle_gamma 90.17
_space_group_name_H-M_alt 'P 1'
_space_group_IT_number 1
loop_
_space_group_symop_operation_xyz
'x,y,z'
loop_
_atom_site_label
_atom_site_type_symbol
_atom_site_fract_x
_atom_site_fract_y
_atom_site_fract_z
_atom_site_occupancy
Li1 Li 0.000 0.000 0.000 1
Li2 Li 0.001 0.673 0.002 1
Li3 Li 0.121 0.797 0.752 1
Li4 Li 0.240 0.591 0.499 1
Li5 Li 0.254 0.252 0.500 1
Li6 Li 0.257 0.920 0.500 1
Li7 Li 0.372 0.046 0.251 1
Li8 Li 0.487 0.841 0.003 1
Li9 Li 0.504 0.171 0.001 1
Li10 Li 0.506 0.504 0.003 1
Li11 Li 0.622 0.295 0.751 1
Li12 Li 0.737 0.091 0.502 1
Li13 Li 0.744 0.424 0.501 1
Li14 Li 0.755 0.754 0.501 1
Li15 Li 0.870 0.548 0.253 1
Li16 Li 0.990 0.343 0.002 1
Ti1 Ti 0.119 0.130 0.748 1
Ti2 Ti 0.128 0.464 0.750 1
Ti3 Ti 0.629 0.633 0.756 1
Ti4 Ti 0.870 0.883 0.249 1
Cr1 Cr 0.369 0.710 0.251 1
Cr2 Cr 0.377 0.375 0.253 1
Cr3 Cr 0.618 0.962 0.752 1
Cr4 Cr 0.876 0.219 0.252 1
O1 O 0.031 0.069 0.364 1
O2 O 0.064 0.384 0.363 1
O3 O 0.078 0.744 0.366 1
O4 O 0.173 0.850 0.135 1
O5 O 0.181 0.213 0.139 1
O6 O 0.215 0.530 0.142 1
O7 O 0.283 0.316 0.865 1
O8 O 0.319 0.638 0.865 1
O9 O 0.328 0.993 0.866 1
O10 O 0.422 0.101 0.635 1
O11 O 0.424 0.458 0.638 1
O12 O 0.462 0.784 0.640 1
O13 O 0.533 0.561 0.363 1
O14 O 0.565 0.248 0.366 1
O15 O 0.567 0.885 0.364 1
O16 O 0.673 0.705 0.140 1
O17 O 0.683 0.346 0.138 1
O18 O 0.712 0.032 0.139 1
O19 O 0.789 0.815 0.866 1
O20 O 0.817 0.135 0.863 1
O21 O 0.819 0.495 0.868 1
O22 O 0.921 0.955 0.640 1
O23 O 0.925 0.600 0.636 1
O24 O 0.959 0.278 0.637 1
```